Calculated powder diffraction line list of UVS4 for Cu Kα (weighted mean of Kα1 and Kα2), from a crystal structure in Alexandria, relaxed with GGA-PBE.
Peak positions follow from Bragg's law for the DFT cell and can differ from measured ones.

Structure:
abc: 6.107 3.765 6.347
angles: 90.00 90.16 90.00
Space group P2/m (No. 10)
Symmetry-distinct sites (fractional):
U 0.000 0.000 0.000 [1 per cell]
V 0.500 0.500 0.000 [1 per cell]
S 0.183 0.500 0.228 [2 per cell]
S 0.354 0.000 0.786 [2 per cell]

Largest 6 diffraction maxima, by angle, 2θ from 10° to 80°:
- 2θ 14.0, I = 100, hkl 0 0 1
- 2θ 14.5, I = 24, hkl 1 0 0
- 2θ 20.2, I = 26, hkl 1 0 -1
- 2θ 31.3, I = 53, hkl 1 1 1
- 2θ 32.5, I = 24, hkl 2 0 -1
- 2θ 40.0, I = 38, hkl 1 1 2



Calculated powder diffraction line list of UV3S6 for Cu Kα (weighted mean of Kα1 and Kα2), from a crystal structure in Alexandria, relaxed with GGA-PBE.
Peak positions follow from Bragg's law for the DFT cell and can differ from measured ones.

Structure:
abc: 10.010 3.548 10.026
angles: 90.00 110.01 90.00
Space group P2_1/m (No. 11)
Symmetry-distinct sites (fractional):
U 0.210 0.250 0.055 [2 per cell]
V 0.006 0.250 0.674 [2 per cell]
V 0.377 0.250 0.459 [2 per cell]
V 0.426 0.750 0.872 [2 per cell]
S 0.032 0.750 0.870 [2 per cell]
S 0.118 0.250 0.481 [2 per cell]
S 0.231 0.750 0.288 [2 per cell]
S 0.256 0.250 0.800 [2 per cell]
S 0.419 0.750 0.102 [2 per cell]
S 0.431 0.750 0.622 [2 per cell]

Largest 6 diffraction maxima, by angle, 2θ from 10° to 80°:
- 2θ 18.8, I = 61, hkl 0 0 2
- 2θ 26.7, I = 100, hkl 1 0 -3
- 2θ 26.9, I = 67, hkl 1 1 0
- 2θ 34.9, I = 99, hkl 1 1 2
- 2θ 38.3, I = 94, hkl 0 1 3
- 2θ 41.9, I = 55, hkl 3 1 1



Calculated powder diffraction line list of Y6US12 for Cu Kα (weighted mean of Kα1 and Kα2), from a crystal structure in Alexandria, relaxed with GGA-PBE.
Peak positions follow from Bragg's law for the DFT cell and can differ from measured ones.

Structure:
abc: 11.9347 11.9347 11.3357
angles: 90.00 90.00 120.00
Space group R-3 (No. 148, hexagonal axes)
Symmetry-distinct sites (fractional):
Y 0.0421 0.7769 0.1328 [18 per cell]
U 0.0000 0.0000 0.5000 [3 per cell]
S 0.0289 0.8119 0.8934 [18 per cell]
S 0.0466 0.8481 0.3776 [18 per cell]

Largest 6 diffraction maxima, by angle, 2θ from 10° to 80°:
- 2θ 17.8, I = 24, hkl 0 1 2
- 2θ 23.5, I = 24, hkl 0 0 3
- 2θ 24.1, I = 100, hkl 3 -1 1
- 2θ 39.3, I = 38, hkl 3 -1 4
- 2θ 40.0, I = 41, hkl 4 1 0
- 2θ 46.9, I = 21, hkl 5 -4 3



Calculated powder diffraction line list of Y2US6 for Cu Kα (weighted mean of Kα1 and Kα2), from a crystal structure in Alexandria, relaxed with GGA-PBE.
Peak positions follow from Bragg's law for the DFT cell and can differ from measured ones.

Structure:
abc: 6.314 6.314 12.047
angles: 90.00 90.00 90.00
Space group P4_2/mnm (No. 136)
Symmetry-distinct sites (fractional):
Y 0.000 0.000 0.165 [4 per cell]
U 0.000 0.000 0.500 [2 per cell]
S 0.191 0.191 0.342 [8 per cell]
S 0.209 0.209 0.000 [4 per cell]

Largest 6 diffraction maxima, by angle, 2θ from 10° to 80°:
- 2θ 15.8, I = 34, hkl 1 0 1
- 2θ 19.9, I = 100, hkl 1 1 0
- 2θ 26.3, I = 63, hkl 1 0 3
- 2θ 39.0, I = 80, hkl 2 1 3
- 2θ 40.4, I = 24, hkl 2 2 0
- 2θ 48.9, I = 32, hkl 3 0 3



Calculated powder diffraction line list of ZrUS for Cu Kα (weighted mean of Kα1 and Kα2), from a crystal structure in Alexandria, relaxed with GGA-PBE.
Peak positions follow from Bragg's law for the DFT cell and can differ from measured ones.

Structure:
abc: 7.809 10.478 12.696
angles: 90.00 90.00 90.00
Space group Fddd (No. 70, origin choice 2)
Symmetry-distinct sites (fractional):
Zr 0.125 0.125 0.255 [16 per cell]
U 0.000 0.000 0.500 [16 per cell]
S 0.125 0.307 0.125 [16 per cell]

Largest 6 diffraction maxima, by angle, 2θ from 10° to 80°:
- 2θ 15.8, I = 31, hkl 1 1 1
- 2θ 28.1, I = 55, hkl 0 0 4
- 2θ 28.9, I = 46, hkl 1 3 1
- 2θ 31.9, I = 100, hkl 2 2 2
- 2θ 35.2, I = 52, hkl 1 3 3
- 2θ 36.3, I = 39, hkl 3 1 1



Calculated powder diffraction line list of V2W2S7 for Cu Kα (weighted mean of Kα1 and Kα2), from a crystal structure in Alexandria, relaxed with GGA-PBE.
Peak positions follow from Bragg's law for the DFT cell and can differ from measured ones.

Structure:
abc: 6.979 10.392 6.184
angles: 90.00 91.22 90.00
Space group C2/m (No. 12)
Symmetry-distinct sites (fractional):
V 0.226 0.000 0.157 [4 per cell]
W 0.000 0.140 0.500 [4 per cell]
S 0.000 0.500 0.000 [2 per cell]
S 0.114 0.000 0.775 [4 per cell]
S 0.217 0.309 0.696 [8 per cell]

Largest 6 diffraction maxima, by angle, 2θ from 10° to 80°:
- 2θ 14.3, I = 82, hkl 0 0 1
- 2θ 15.3, I = 100, hkl 1 1 0
- 2θ 21.2, I = 82, hkl 1 1 1
- 2θ 32.4, I = 34, hkl 1 3 1
- 2θ 41.4, I = 42, hkl 1 3 2
- 2θ 47.1, I = 32, hkl 3 3 0